The following is a calculated X-ray powder pattern of CdTePbO. It was derived from a cell relaxed with GGA-PBE, using copper Kα.

a b c (Å): 6.759 7.429 8.451
angles (deg): 90.00 90.00 90.00
Space group P2_12_12_1 (No. 19)
Symmetry-distinct sites (fractional):
Cd (0.020, 0.191, 0.452)
Te (0.240, 0.973, 0.232)
Pb (0.065, 0.659, 0.513)
O (0.232, 0.414, 0.484)

Main lines, by angle (2θ = 5–70°):
- d 4.225, 2θ = 21.0°, intensity 48, hkl 0 0 2
- d 3.255, 2θ = 27.4°, intensity 81, hkl 1 2 0
- d 3.227, 2θ = 27.6°, intensity 100, hkl 1 1 2
- d 3.138, 2θ = 28.4°, intensity 39, hkl 2 0 1
- d 2.790, 2θ = 32.1°, intensity 62, hkl 0 2 2
- d 2.639, 2θ = 34.0°, intensity 95, hkl 2 0 2
- d 2.579, 2θ = 34.8°, intensity 81, hkl 1 2 2
- d 2.500, 2θ = 35.9°, intensity 47, hkl 2 2 0
- d 2.113, 2θ = 42.8°, intensity 27, hkl 0 0 4
- d 1.792, 2θ = 51.0°, intensity 27, hkl 1 4 0

***

The following is a calculated X-ray powder pattern of NaZnH2C3O7. It was derived from a cell relaxed with GGA-PBE, using copper Kα.

a b c (Å): 5.861 15.385 6.786
angles (deg): 90.00 99.83 90.00
Space group P2_1/c (No. 14)
Symmetry-distinct sites (fractional):
Na (0.030, 0.184, 0.186)
Zn (0.238, 0.099, 0.792)
H (0.330, 0.022, 0.146)
H (0.458, 0.118, 0.153)
C (0.006, 0.538, 0.075)
C (0.293, 0.653, 0.717)
C (0.447, 0.735, 0.750)
O (0.078, 0.666, 0.674)
O (0.100, 0.107, 0.485)
O (0.120, 0.526, 0.249)
O (0.315, 0.083, 0.095)
O (0.343, 0.226, 0.768)
O (0.355, 0.695, 0.293)
O (0.397, 0.580, 0.735)

Main lines, by angle (2θ = 5–70°):
- d 5.406, 2θ = 16.4°, intensity 28, hkl 1 1 0
- d 5.046, 2θ = 17.6°, intensity 92, hkl 0 2 1
- d 4.577, 2θ = 19.4°, intensity 75, hkl 1 1 -1
- d 3.838, 2θ = 23.2°, intensity 78, hkl 1 3 0
- d 3.342, 2θ = 26.7°, intensity 100, hkl 0 0 2
- d 2.786, 2θ = 32.1°, intensity 25, hkl 2 1 -1
- d 2.658, 2θ = 33.7°, intensity 39, hkl 2 2 -1
- d 2.395, 2θ = 37.6°, intensity 19, hkl 0 6 1
- d 2.206, 2θ = 40.9°, intensity 20, hkl 0 1 3
- d 2.054, 2θ = 44.1°, intensity 23, hkl 1 7 0

***

The following is a calculated X-ray powder pattern of KErSeO. It was derived from a cell relaxed with GGA-PBE, using copper Kα.

a b c (Å): 5.748 5.743 11.509
angles (deg): 90.00 103.12 90.00
Space group C2 (No. 5)
Symmetry-distinct sites (fractional):
K (0.202, 0.000, 0.394)
Er (0.207, 0.279, 0.911)
Se (0.153, 0.500, 0.281)
O (0.000, 0.032, 0.000)
O (0.000, 0.533, 0.000)

Main lines, by angle (2θ = 5–70°):
- d 11.209, 2θ = 7.9°, intensity 100, hkl 0 0 1
- d 3.594, 2θ = 24.8°, intensity 20, hkl 1 1 1
- d 3.544, 2θ = 25.1°, intensity 23, hkl 1 1 -2
- d 3.036, 2θ = 29.4°, intensity 23, hkl 1 1 2
- d 2.986, 2θ = 29.9°, intensity 30, hkl 1 1 -3
- d 2.800, 2θ = 32.0°, intensity 14, hkl 2 0 0
- d 2.782, 2θ = 32.2°, intensity 20, hkl 0 2 1
- d 2.535, 2θ = 35.4°, intensity 27, hkl 1 1 3
- d 2.495, 2θ = 36.0°, intensity 15, hkl 1 1 -4
- d 2.031, 2θ = 44.6°, intensity 27, hkl 2 2 -1

***

The following is a calculated X-ray powder pattern of Sr3Sc2Au2S2O5. It was derived from a cell relaxed with GGA-PBE, using copper Kα.

a b c (Å): 4.119 4.119 26.938
angles (deg): 90.00 90.00 90.00
Space group I4/mmm (No. 139)
Symmetry-distinct sites (fractional):
Sr (0.000, 0.000, 0.000)
Sr (0.000, 0.000, 0.139)
Sc (0.000, 0.000, 0.426)
Au (0.000, 0.500, 0.250)
S (0.000, 0.000, 0.315)
O (0.000, 0.000, 0.500)
O (0.000, 0.500, 0.083)

Main lines, by angle (2θ = 5–70°):
- d 13.469, 2θ = 6.6°, intensity 100, hkl 0 0 2
- d 6.734, 2θ = 13.1°, intensity 23, hkl 0 0 4
- d 4.490, 2θ = 19.8°, intensity 12, hkl 0 0 6
- d 3.367, 2θ = 26.5°, intensity 14, hkl 0 0 8
- d 2.846, 2θ = 31.4°, intensity 35, hkl 1 1 2
- d 2.812, 2θ = 31.8°, intensity 22, hkl 1 0 7
- d 2.673, 2θ = 33.5°, intensity 31, hkl 1 1 4
- d 2.443, 2θ = 36.8°, intensity 45, hkl 1 1 6
- d 2.059, 2θ = 44.0°, intensity 28, hkl 2 0 0
- d 1.605, 2θ = 57.4°, intensity 14, hkl 1 1 14

***

The following is a calculated X-ray powder pattern of GdTmSi2Mo2C. It was derived from a cell relaxed with GGA-PBE, using copper Kα.

a b c (Å): 11.142 3.807 7.136
angles (deg): 90.00 125.63 90.00
Space group Cm (No. 8)
Symmetry-distinct sites (fractional):
Gd (0.000, 0.000, 0.000)
Tm (0.150, 0.000, 0.591)
Si (0.207, 0.500, 0.959)
Si (0.445, 0.000, 0.633)
Mo (0.282, 0.500, 0.383)
Mo (0.370, 0.000, 0.214)
C (0.077, 0.500, 0.302)

Main lines, by angle (2θ = 5–70°):
- d 3.559, 2θ = 25.0°, intensity 21, hkl 2 0 -2
- d 3.509, 2θ = 25.4°, intensity 26, hkl 1 1 0
- d 2.853, 2θ = 31.4°, intensity 45, hkl 2 0 1
- d 2.741, 2θ = 32.7°, intensity 17, hkl 1 1 1
- d 2.710, 2θ = 33.1°, intensity 32, hkl 4 0 -1
- d 2.654, 2θ = 33.8°, intensity 89, hkl 3 1 -1
- d 2.534, 2θ = 35.4°, intensity 100, hkl 1 1 -2
- d 2.256, 2θ = 40.0°, intensity 30, hkl 4 0 -3
- d 1.905, 2θ = 47.7°, intensity 40, hkl 0 2 0
- d 1.583, 2θ = 58.3°, intensity 16, hkl 2 2 1

***

The following is a calculated X-ray powder pattern of AgAuO6. It was derived from a cell relaxed with GGA-PBE, using copper Kα.

a b c (Å): 7.238 7.238 7.238
angles (deg): 90.00 90.00 90.00
Space group F-43m (No. 216)
Symmetry-distinct sites (fractional):
Ag (0.000, 0.000, 0.000)
Au (0.250, 0.250, 0.250)
O (0.028, 0.250, 0.750)

Main lines, by angle (2θ = 5–70°):
- d 4.179, 2θ = 21.3°, intensity 100, hkl 1 1 1
- d 3.619, 2θ = 24.6°, intensity 18, hkl 2 0 0
- d 2.559, 2θ = 35.1°, intensity 76, hkl 2 2 0
- d 2.182, 2θ = 41.4°, intensity 66, hkl 3 1 1
- d 1.810, 2θ = 50.4°, intensity 26, hkl 4 0 0
- d 1.661, 2θ = 55.3°, intensity 32, hkl 3 3 1
- d 1.618, 2θ = 56.9°, intensity 6, hkl 4 2 0
- d 1.477, 2θ = 62.9°, intensity 28, hkl 4 2 2
- d 1.393, 2θ = 67.2°, intensity 19, hkl 3 3 3

***

The following is a calculated X-ray powder pattern of Fe11Mo6C5. It was derived from a cell relaxed with GGA-PBE, using copper Kα.

a b c (Å): 10.948 7.627 6.536
angles (deg): 90.00 120.56 90.00
Space group C2/m (No. 12)
Symmetry-distinct sites (fractional):
Fe (0.000, 0.000, 0.000)
Fe (0.000, 0.335, 0.500)
Fe (0.136, 0.500, 0.337)
Fe (0.142, 0.165, 0.374)
Fe (0.238, 0.500, 0.795)
Mo (0.115, 0.301, 0.960)
Mo (0.119, 0.000, 0.715)
C (0.000, 0.500, 0.000)
C (0.199, 0.259, 0.692)

Main lines, by angle (2θ = 5–70°):
- d 2.357, 2θ = 38.2°, intensity 29, hkl 4 0 0
- d 2.264, 2θ = 39.8°, intensity 46, hkl 0 2 2
- d 2.216, 2θ = 40.7°, intensity 31, hkl 4 2 -1
- d 2.195, 2θ = 41.1°, intensity 31, hkl 3 1 1
- d 2.148, 2θ = 42.1°, intensity 38, hkl 1 3 1
- d 2.124, 2θ = 42.6°, intensity 29, hkl 4 2 -2
- d 2.085, 2θ = 43.4°, intensity 100, hkl 3 3 -1
- d 2.066, 2θ = 43.8°, intensity 70, hkl 4 0 -3
- d 2.008, 2θ = 45.2°, intensity 34, hkl 2 0 2
- d 1.984, 2θ = 45.7°, intensity 32, hkl 1 3 -2

***

The following is a calculated X-ray powder pattern of DyH9C5N2O8. It was derived from a cell relaxed with GGA-PBE, using copper Kα.

a b c (Å): 6.594 18.359 8.311
angles (deg): 90.00 90.00 90.00
Space group C222_1 (No. 20)
Symmetry-distinct sites (fractional):
Dy (0.000, 0.142, 0.250)
H (0.000, 0.315, 0.750)
H (0.000, 0.345, 0.250)
H (0.162, 0.494, 0.172)
H (0.207, 0.289, 0.443)
H (0.238, 0.407, 0.098)
H (0.247, 0.000, 0.000)
C (0.000, 0.375, 0.750)
C (0.000, 0.405, 0.250)
C (0.079, 0.000, 0.000)
C (0.231, 0.244, 0.529)
N (0.141, 0.438, 0.165)
O (0.014, 0.051, 0.432)
O (0.167, 0.407, 0.726)
O (0.171, 0.181, 0.487)
O (0.183, 0.243, 0.161)

Main lines, by angle (2θ = 5–70°):
- d 6.206, 2θ = 14.3°, intensity 28, hkl 1 1 0
- d 6.161, 2θ = 14.4°, intensity 100, hkl 0 2 1
- d 4.973, 2θ = 17.8°, intensity 73, hkl 1 1 1
- d 4.486, 2θ = 19.8°, intensity 21, hkl 1 3 0
- d 4.156, 2θ = 21.4°, intensity 15, hkl 0 0 2
- d 3.081, 2θ = 29.0°, intensity 25, hkl 0 4 2
- d 3.048, 2θ = 29.3°, intensity 22, hkl 1 3 2
- d 2.993, 2θ = 29.9°, intensity 13, hkl 1 5 1
- d 2.907, 2θ = 30.8°, intensity 24, hkl 2 2 1
- d 1.838, 2θ = 49.6°, intensity 16, hkl 0 10 0

***

The following is a calculated X-ray powder pattern of Gd2Pd. It was derived from a cell relaxed with GGA-PBE, using copper Kα.

a b c (Å): 7.6876 7.6876 4.4506
angles (deg): 90.00 90.00 120.00
Space group P-62m (No. 189)
Symmetry-distinct sites (fractional):
Gd (0.0000, 0.4082, 0.0000)
Gd (0.0000, 0.7393, 0.5000)
Pd (0.0000, 0.0000, 0.0000)
Pd (0.3333, 0.6667, 0.5000)

Main lines, by angle (2θ = 5–70°):
- d 2.909, 2θ = 30.7°, intensity 100, hkl 1 1 1
- d 2.666, 2θ = 33.6°, intensity 78, hkl 2 0 1
- d 2.516, 2θ = 35.7°, intensity 44, hkl 2 1 0
- d 2.225, 2θ = 40.5°, intensity 29, hkl 0 0 2
- d 2.219, 2θ = 40.7°, intensity 30, hkl 3 0 0
- d 2.190, 2θ = 41.2°, intensity 21, hkl 2 1 1
- d 1.706, 2θ = 53.7°, intensity 12, hkl 3 1 1
- d 1.667, 2θ = 55.1°, intensity 29, hkl 2 1 2
- d 1.571, 2θ = 58.8°, intensity 20, hkl 3 0 2
- d 1.445, 2θ = 64.5°, intensity 29, hkl 3 2 1

***

The following is a calculated X-ray powder pattern of TbTmW2C3. It was derived from a cell relaxed with GGA-PBE, using copper Kα.

a b c (Å): 11.780 3.313 5.696
angles (deg): 90.00 112.34 90.00
Space group Cm (No. 8)
Symmetry-distinct sites (fractional):
Tb (0.000, 0.000, 0.000)
Tm (0.221, 0.000, 0.642)
W (0.265, 0.500, 0.145)
W (0.454, 0.000, 0.491)
C (0.110, 0.500, 0.815)
C (0.357, 0.500, 0.554)
C (0.359, 0.000, 0.081)

Main lines, by angle (2θ = 5–70°):
- d 2.859, 2θ = 31.3°, intensity 19, hkl 1 1 -1
- d 2.830, 2θ = 31.6°, intensity 33, hkl 2 0 -2
- d 2.724, 2θ = 32.9°, intensity 42, hkl 4 0 0
- d 2.634, 2θ = 34.0°, intensity 24, hkl 0 0 2
- d 2.592, 2θ = 34.6°, intensity 100, hkl 1 1 1
- d 2.475, 2θ = 36.3°, intensity 78, hkl 3 1 -1
- d 2.405, 2θ = 37.4°, intensity 21, hkl 4 0 -2
- d 2.080, 2θ = 43.5°, intensity 34, hkl 2 0 2
- d 1.640, 2θ = 56.1°, intensity 23, hkl 3 1 -3
- d 1.470, 2θ = 63.3°, intensity 26, hkl 7 1 -2

***

The following is a calculated X-ray powder pattern of Ba2SiGe2Au. It was derived from a cell relaxed with GGA-PBE, using copper Kα.

a b c (Å): 8.794 10.006 15.211
angles (deg): 90.00 90.00 90.00
Space group Fmmm (No. 69)
Symmetry-distinct sites (fractional):
Ba (0.000, 0.248, 0.000)
Ba (0.250, 0.250, 0.250)
Si (0.000, 0.000, 0.164)
Ge (0.244, 0.000, 0.084)
Au (0.000, 0.000, 0.328)

Main lines, by angle (2θ = 5–70°):
- d 6.059, 2θ = 14.6°, intensity 8, hkl 1 1 1
- d 4.022, 2θ = 22.1°, intensity 18, hkl 1 1 3
- d 3.029, 2θ = 29.5°, intensity 100, hkl 2 2 2
- d 2.656, 2θ = 33.7°, intensity 6, hkl 1 3 3
- d 2.501, 2θ = 35.9°, intensity 20, hkl 0 4 0
- d 2.197, 2θ = 41.1°, intensity 40, hkl 4 0 0
- d 1.778, 2θ = 51.4°, intensity 21, hkl 0 2 8
- d 1.651, 2θ = 55.7°, intensity 33, hkl 4 4 0
- d 1.527, 2θ = 60.6°, intensity 13, hkl 2 6 2
- d 1.382, 2θ = 67.8°, intensity 18, hkl 4 2 8